This entry pairs a crystal structure of Na2CoP2O7 with its computed powder XRD pattern. Radiation: CuKα. Structure: the PBE+U geometry in Alexandria.
Neutral-atom scattering factors, no anomalous dispersion.

Largest 6 diffraction maxima, sorted by position, 10 to 90 degrees two-theta:
14.5 deg, rel. 22; 17.0 deg, rel. 100; 26.5 deg, rel. 71; 34.1 deg, rel. 21; 37.0 deg, rel. 37; 43.4 deg, rel. 18

Cell and atoms:
a = 8.720 Å, b = 8.720 Å, c = 8.720 Å
α = 125.05°, β = 74.41°, γ = 133.98°
Fractional positions:
Na  0.257  0.000  0.757
Na  0.257  0.500  0.257
Na  0.743  0.000  0.243
Na  0.743  0.500  0.743
Co  0.500  0.000  0.000
Co  0.500  0.500  0.500
P  0.098  0.452  0.647
P  0.305  0.452  0.853
P  0.695  0.548  0.147
P  0.902  0.548  0.353
O  0.089  0.339  0.750
O  0.135  0.705  0.430
O  0.225  0.295  0.930
O  0.225  0.422  0.486
O  0.225  0.740  0.804
O  0.436  0.422  0.696
O  0.436  0.740  0.014
O  0.564  0.260  0.986
O  0.564  0.578  0.304
O  0.775  0.260  0.196
O  0.775  0.578  0.514
O  0.775  0.705  0.070
O  0.865  0.295  0.570
O  0.911  0.661  0.250